For LiZn2Fe9O16, a structure optimized by DFT (GGA+U) gives the simulated powder diffraction line list in this record (Cu Kα (λ = 1.5418 Å)).
Peak positions follow from Bragg's law for the DFT cell and can differ from measured ones.

Most intense lines, 2θ = 10–90°, low angle first:
2θ 17.98, 4.934 Å, I = 36, hkl 0 1 1
2θ 29.55, 3.023 Å, I = 23, hkl 1 -2 0
2θ 34.79, 2.579 Å, I = 100, hkl 1 1 -5
2θ 34.89, 2.572 Å, I = 37, hkl -2 1 5
2θ 36.39, 2.469 Å, I = 13, hkl 2 -2 2
2θ 42.26, 2.138 Å, I = 30, hkl 2 0 4
2θ 42.38, 2.133 Å, I = 15, hkl -2 2 6
2θ 55.82, 1.647 Å, I = 25, hkl 3 -1 5
2θ 55.97, 1.643 Å, I = 20, hkl -3 3 5
2θ 61.32, 1.512 Å, I = 56, hkl 2 -4 0

Structural model:
Lattice parameters (Å, degrees): 6.0450 6.0496 19.9960 90.09 98.44 119.97
Element x y z (fractional)
Li: 0.0000 0.0000 0.0000
Li: 0.4974 0.2542 0.7471
Zn: 0.1806 0.0960 0.2774
Zn: 0.4271 0.2180 0.1515
Zn: 0.6861 0.8482 0.5294
Zn: 0.9345 0.9729 0.4039
Fe: 0.1817 0.5974 0.7770
Fe: 0.3777 0.1915 0.5640
Fe: 0.3848 0.6929 0.0588
Fe: 0.4309 0.7186 0.6565
Fe: 0.4346 0.4717 0.4038
Fe: 0.4347 0.9732 0.4038
Fe: 0.4384 0.9807 0.9053
Fe: 0.4404 0.4633 0.9054
Fe: 0.4841 0.7482 0.2466
Fe: 0.6848 0.3414 0.0260
Fe: 0.8709 0.9400 0.8125
Fe: 0.8808 0.4459 0.3095
Fe: 0.9239 0.4628 0.9054
Fe: 0.9356 0.2167 0.1525
Fe: 0.9360 0.7260 0.1521
Fe: 0.9378 0.7186 0.6559
Fe: 0.9385 0.2251 0.6562
Fe: 0.9891 0.5004 0.4948
O: 0.0512 0.5264 0.0920
O: 0.0521 0.0291 0.1007
O: 0.0520 0.0329 0.5973
O: 0.0632 0.5361 0.5944
O: 0.0680 0.7738 0.8432
O: 0.0703 0.3040 0.8423
O: 0.0776 0.2875 0.3446
O: 0.0778 0.8009 0.3444
O: 0.2887 0.4240 0.7125
O: 0.2894 0.8766 0.7130
O: 0.2900 0.9058 0.2135
O: 0.2914 0.3961 0.2136
O: 0.3052 0.6542 0.9592
O: 0.3181 0.1637 0.4644
O: 0.3208 0.6658 0.4630
O: 0.3316 0.1682 0.9628
O: 0.5387 0.7726 0.8430
O: 0.5531 0.2813 0.3458
O: 0.5527 0.7814 0.3467
O: 0.5659 0.2852 0.8491
O: 0.5728 0.5528 0.5974
O: 0.5748 0.0324 0.5983
O: 0.5773 0.0523 0.0885
O: 0.5794 0.5281 0.0884
O: 0.7907 0.1435 0.4649
O: 0.7912 0.6587 0.4645
O: 0.7921 0.1685 0.9631
O: 0.7928 0.6232 0.9639
O: 0.8066 0.9093 0.7127
O: 0.8085 0.9099 0.2115
O: 0.8120 0.4113 0.2102
O: 0.8403 0.4246 0.7125